# 1
This entry pairs a crystal structure of TbPmPr2Dy with its computed XRD peak list. Radiation: Cu Kα (λ = 1.5418 Å). Structure: a structure optimized by DFT (GGA-PBE).
Kinematic intensities with the Lorentz-polarization factor, no thermal factor.

Top 10 peaks for 2θ from 15° to 90°, in order of rising 2θ:
d 3.191, 2θ 27.96, I 28
d 3.101, 2θ 28.79, I 44
d 3.055, 2θ 29.24, I 100
d 2.970, 2θ 30.08, I 24
d 2.789, 2θ 32.09, I 40
d 2.715, 2θ 32.99, I 58
d 2.340, 2θ 38.48, I 22
d 1.975, 2θ 45.95, I 29
d 1.815, 2θ 50.27, I 22
d 1.670, 2θ 54.99, I 22

Structure:
Lattice parameters (Å, degrees): 6.3824 8.1372 6.7086 90.00 90.00 90.00
Fractional positions:
1 Tb 0.0000 0.0000 0.0000
2 Tb 0.5000 0.0000 0.0000
3 Pm 0.2500 0.0000 0.4179
4 Pm 0.7500 0.0000 0.5821
5 Pr 0.2500 0.3015 0.7036
6 Pr 0.2500 0.6985 0.7036
7 Pr 0.7500 0.3015 0.2964
8 Pr 0.7500 0.6985 0.2964
9 Dy 0.2500 0.5000 0.1725
10 Dy 0.7500 0.5000 0.8275

# 2
This entry pairs a crystal structure of PmIn12Ni6 with its computed XRD peak list. Radiation: Cu Kα (λ = 1.5418 Å). Structure: a structure optimized by DFT (GGA-PBE).
Kinematic intensities with the Lorentz-polarization factor, no thermal factor.

Top 10 peaks for 2θ from 15° to 90°, in order of rising 2θ:
d 2.781, 2θ 32.19, I 100
d 2.731, 2θ 32.80, I 58
d 2.462, 2θ 36.49, I 19
d 2.335, 2θ 38.56, I 28
d 2.305, 2θ 39.09, I 36
d 2.282, 2θ 39.49, I 17
d 2.136, 2θ 42.31, I 16
d 2.102, 2θ 43.04, I 25
d 1.913, 2θ 47.54, I 45
d 1.553, 2θ 59.53, I 22

Structure:
Lattice parameters (Å, degrees): 7.6526 7.6526 7.6526 105.11 105.11 105.11
Fractional positions:
1 Pm 0.0000 0.0000 0.0000
2 In 0.1195 0.5000 0.8805
3 In 0.1195 0.8805 0.5000
4 In 0.1596 0.4165 0.4165
5 In 0.4165 0.1596 0.4165
6 In 0.4165 0.4165 0.1596
7 In 0.5000 0.1195 0.8805
8 In 0.5000 0.8805 0.1195
9 In 0.5835 0.5835 0.8404
10 In 0.5835 0.8404 0.5835
11 In 0.8404 0.5835 0.5835
12 In 0.8805 0.1195 0.5000
13 In 0.8805 0.5000 0.1195
14 Ni 0.2715 0.2715 0.6992
15 Ni 0.2715 0.6992 0.2715
16 Ni 0.3008 0.7285 0.7285
17 Ni 0.6992 0.2715 0.2715
18 Ni 0.7285 0.3008 0.7285
19 Ni 0.7285 0.7285 0.3008

# 3
This entry pairs a crystal structure of TbSm3Sc7 with its computed XRD peak list. Radiation: Cu Kα (λ = 1.5418 Å). Structure: a structure optimized by DFT (GGA-PBE).
Kinematic intensities with the Lorentz-polarization factor, no thermal factor.

Top 10 peaks for 2θ from 15° to 90°, in order of rising 2θ:
d 5.392, 2θ 16.44, I 45
d 3.580, 2θ 24.87, I 100
d 2.744, 2θ 32.63, I 46
d 2.696, 2θ 33.23, I 35
d 2.628, 2θ 34.12, I 20
d 2.610, 2θ 34.36, I 85
d 2.590, 2θ 34.63, I 37
d 1.923, 2θ 47.27, I 25
d 1.557, 2θ 59.35, I 17
d 1.552, 2θ 59.56, I 20

Structure:
Lattice parameters (Å, degrees): 8.0142 8.0142 8.0142 139.96 98.04 95.43
Fractional positions:
1 Tb 0.0000 0.0000 0.0000
2 Sm 0.2854 0.5000 0.7854
3 Sm 0.5000 0.0000 0.5000
4 Sm 0.7146 0.5000 0.2146
5 Sc 0.0000 0.5000 0.5000
6 Sc 0.0914 0.7814 0.3100
7 Sc 0.2928 0.2928 0.0000
8 Sc 0.4713 0.7814 0.6900
9 Sc 0.5287 0.2186 0.3100
10 Sc 0.7072 0.7072 0.0000
11 Sc 0.9086 0.2186 0.6900

# 4
This entry pairs a crystal structure of NaPr2NdTe4 with its computed XRD peak list. Radiation: Cu Kα (λ = 1.5418 Å). Structure: a structure optimized by DFT (GGA-PBE).
Kinematic intensities with the Lorentz-polarization factor, no thermal factor.

Top 10 peaks for 2θ from 15° to 90°, in order of rising 2θ:
d 3.203, 2θ 27.86, I 100
d 2.279, 2θ 39.54, I 13
d 2.264, 2θ 39.81, I 51
d 2.251, 2θ 40.05, I 13
d 1.857, 2θ 49.07, I 14
d 1.842, 2θ 49.50, I 14
d 1.601, 2θ 57.56, I 13
d 1.432, 2θ 65.14, I 23
d 1.313, 2θ 71.91, I 9
d 1.302, 2θ 72.59, I 9

Structure:
Lattice parameters (Å, degrees): 7.8563 4.5029 7.8616 90.00 109.09 90.00
Fractional positions:
1 Na 0.0000 0.0000 0.0000
2 Pr 0.5000 0.0000 0.5000
3 Pr 0.5000 0.5000 0.0000
4 Nd 0.0000 0.5000 0.5000
5 Te 0.2458 0.0000 0.7509
6 Te 0.2470 0.5000 0.2486
7 Te 0.7530 0.5000 0.7514
8 Te 0.7542 0.0000 0.2491

# 5
This entry pairs a crystal structure of MnTcIr with its computed XRD peak list. Radiation: Cu Kα (λ = 1.5418 Å). Structure: a structure optimized by DFT (GGA-PBE).
Kinematic intensities with the Lorentz-polarization factor, no thermal factor.

Top 10 peaks for 2θ from 15° to 90°, in order of rising 2θ:
d 4.046, 2θ 21.97, I 13
d 3.427, 2θ 26.00, I 19
d 2.562, 2θ 35.02, I 9
d 2.197, 2θ 41.08, I 100
d 1.932, 2θ 47.05, I 8
d 1.909, 2θ 47.64, I 32
d 1.891, 2θ 48.11, I 16
d 1.343, 2θ 70.04, I 20
d 1.150, 2θ 84.19, I 25
d 1.142, 2θ 84.88, I 12

Structure:
Lattice parameters (Å, degrees): 2.7011 3.7825 8.0927 90.00 90.00 90.00
Fractional positions:
1 Mn 0.0000 0.0000 0.0000
2 Mn 0.5000 0.5000 0.5000
3 Tc 0.0000 0.0000 0.6653
4 Tc 0.5000 0.5000 0.1653
5 Ir 0.0000 0.0000 0.3339
6 Ir 0.5000 0.5000 0.8339

# 6
This entry pairs a crystal structure of RbMnPN with its computed XRD peak list. Radiation: Cu Kα (λ = 1.5418 Å). Structure: a structure optimized by DFT (GGA-PBE).
Kinematic intensities with the Lorentz-polarization factor, no thermal factor.

Top 10 peaks for 2θ from 15° to 90°, in order of rising 2θ:
d 3.473, 2θ 25.65, I 75
d 2.892, 2θ 30.92, I 100
d 2.562, 2θ 35.03, I 33
d 2.418, 2θ 37.19, I 38
d 1.886, 2θ 48.25, I 12
d 1.758, 2θ 52.01, I 28
d 1.657, 2θ 55.44, I 17
d 1.605, 2θ 57.42, I 32
d 1.535, 2θ 60.29, I 13
d 1.519, 2θ 61.01, I 12

Structure:
Lattice parameters (Å, degrees): 5.1230 3.7719 9.4483 90.00 90.00 90.00
Fractional positions:
1 Rb 0.0000 0.0000 0.0000
2 Rb 0.0000 0.5000 0.5000
3 Mn 0.5000 0.0000 0.3037
4 Mn 0.5000 0.5000 0.8037
5 P 0.5000 0.0000 0.6660
6 P 0.5000 0.5000 0.1660
7 N 0.5000 0.0000 0.4922
8 N 0.5000 0.5000 0.9922

# 7
This entry pairs a crystal structure of Ag11Hg9 with its computed XRD peak list. Radiation: Cu Kα (λ = 1.5418 Å). Structure: a structure optimized by DFT (GGA-PBE).
Kinematic intensities with the Lorentz-polarization factor, no thermal factor.

Top 10 peaks for 2θ from 15° to 90°, in order of rising 2θ:
d 2.687, 2θ 33.35, I 30
d 2.473, 2θ 36.32, I 15
d 2.414, 2θ 37.25, I 6
d 2.361, 2θ 38.12, I 100
d 1.820, 2θ 50.13, I 10
d 1.552, 2θ 59.59, I 21
d 1.405, 2θ 66.54, I 6
d 1.372, 2θ 68.37, I 8
d 1.314, 2θ 71.83, I 12
d 1.296, 2θ 72.98, I 19

Structure:
Lattice parameters (Å, degrees): 3.1028 3.1028 49.4688 90.00 90.00 120.00
Fractional positions:
1 Ag 0.0000 0.0000 0.0000
2 Ag 0.0000 0.0000 0.0922
3 Ag 0.0000 0.0000 0.1921
4 Ag 0.0000 0.0000 0.2839
5 Ag 0.0000 0.0000 0.5041
6 Ag 0.0000 0.0000 0.6029
7 Ag 0.0000 0.0000 0.7021
8 Ag 0.0000 0.0000 0.8012
9 Ag 0.0000 0.0000 0.9006
10 Ag 0.6667 0.3333 0.0460
11 Ag 0.6667 0.3333 0.2380
12 Hg 0.0000 0.0000 0.3948
13 Hg 0.6667 0.3333 0.1421
14 Hg 0.6667 0.3333 0.3345
15 Hg 0.6667 0.3333 0.4538
16 Hg 0.6667 0.3333 0.5535
17 Hg 0.6667 0.3333 0.6525
18 Hg 0.6667 0.3333 0.7517
19 Hg 0.6667 0.3333 0.8509
20 Hg 0.6667 0.3333 0.9504

# 8
This entry pairs a crystal structure of Li2GaPd3 with its computed XRD peak list. Radiation: Cu Kα (λ = 1.5418 Å). Structure: a structure optimized by DFT (GGA-PBE).
Kinematic intensities with the Lorentz-polarization factor, no thermal factor.

Top 10 peaks for 2θ from 15° to 90°, in order of rising 2θ:
d 3.050, 2θ 29.28, I 48
d 3.033, 2θ 29.45, I 47
d 2.974, 2θ 30.04, I 44
d 2.151, 2θ 42.01, I 100
d 2.130, 2θ 42.45, I 97
d 2.124, 2θ 42.57, I 97
d 1.743, 2θ 52.50, I 36
d 1.525, 2θ 60.73, I 16
d 1.238, 2θ 77.04, I 16
d 1.223, 2θ 78.13, I 31

Structure:
Lattice parameters (Å, degrees): 4.2969 5.9488 6.7967 90.00 108.11 90.00
Fractional positions:
1 Li 0.0000 0.0000 0.0000
2 Li 0.0000 0.5000 0.0000
3 Li 0.3330 0.0000 0.6659
4 Li 0.6670 0.0000 0.3341
5 Ga 0.3402 0.5000 0.6811
6 Ga 0.6598 0.5000 0.3189
7 Pd 0.1691 0.2512 0.3381
8 Pd 0.1691 0.7488 0.3381
9 Pd 0.5000 0.2453 0.0000
10 Pd 0.5000 0.7547 0.0000
11 Pd 0.8309 0.2512 0.6619
12 Pd 0.8309 0.7488 0.6619

# 9
This entry pairs a crystal structure of Tm2AlPt4 with its computed XRD peak list. Radiation: Cu Kα (λ = 1.5418 Å). Structure: a structure optimized by DFT (GGA-PBE).
Kinematic intensities with the Lorentz-polarization factor, no thermal factor.

Top 10 peaks for 2θ from 15° to 90°, in order of rising 2θ:
d 4.300, 2θ 20.66, I 39
d 3.808, 2θ 23.36, I 100
d 3.036, 2θ 29.42, I 41
d 2.411, 2θ 37.29, I 37
d 2.360, 2θ 38.12, I 83
d 2.333, 2θ 38.58, I 77
d 2.276, 2θ 39.60, I 50
d 2.262, 2θ 39.86, I 53
d 2.226, 2θ 40.53, I 60
d 2.172, 2θ 41.58, I 36

Structure:
Lattice parameters (Å, degrees): 4.8708 4.8805 7.0624 71.07 84.90 69.01
Fractional positions:
1 Tm 0.0085 0.3735 0.2781
2 Tm 0.9915 0.6265 0.7219
3 Al 0.5000 0.0000 0.0000
4 Pt 0.0000 0.0000 0.0000
5 Pt 0.3317 0.0275 0.6547
6 Pt 0.5000 0.5000 0.0000
7 Pt 0.6683 0.9725 0.3453

# 10
This entry pairs a crystal structure of La2Pr3S8 with its computed XRD peak list. Radiation: Cu Kα (λ = 1.5418 Å). Structure: a structure optimized by DFT (GGA-PBE).
Kinematic intensities with the Lorentz-polarization factor, no thermal factor.

Top 10 peaks for 2θ from 15° to 90°, in order of rising 2θ:
d 5.818, 2θ 15.23, I 45
d 4.422, 2θ 20.08, I 100
d 3.963, 2θ 22.43, I 82
d 3.555, 2θ 25.05, I 59
d 3.536, 2θ 25.19, I 44
d 3.405, 2θ 26.17, I 65
d 2.698, 2θ 33.20, I 94
d 2.600, 2θ 34.50, I 45
d 2.225, 2θ 40.54, I 93
d 2.040, 2θ 44.40, I 72

Structure:
Lattice parameters (Å, degrees): 8.2838 8.2838 7.0053 107.74 107.74 60.92
Fractional positions:
1 La 0.2321 0.2321 0.1504
2 La 0.7679 0.7679 0.8496
3 Pr 0.2361 0.7639 0.5000
4 Pr 0.5000 0.5000 0.0000
5 Pr 0.7639 0.2361 0.5000
6 S 0.1214 0.1214 0.4198
7 S 0.1470 0.6024 0.0857
8 S 0.3840 0.3840 0.5654
9 S 0.3976 0.8530 0.9143
10 S 0.6024 0.1470 0.0857
11 S 0.6160 0.6160 0.4346
12 S 0.8530 0.3976 0.9143
13 S 0.8786 0.8786 0.5802

Copy entry 9 word for word.
This entry pairs a crystal structure of Tm2AlPt4 with its computed XRD peak list. Radiation: Cu Kα (λ = 1.5418 Å). Structure: a structure optimized by DFT (GGA-PBE).
Kinematic intensities with the Lorentz-polarization factor, no thermal factor.

Top 10 peaks for 2θ from 15° to 90°, in order of rising 2θ:
d 4.300, 2θ 20.66, I 39
d 3.808, 2θ 23.36, I 100
d 3.036, 2θ 29.42, I 41
d 2.411, 2θ 37.29, I 37
d 2.360, 2θ 38.12, I 83
d 2.333, 2θ 38.58, I 77
d 2.276, 2θ 39.60, I 50
d 2.262, 2θ 39.86, I 53
d 2.226, 2θ 40.53, I 60
d 2.172, 2θ 41.58, I 36

Structure:
Lattice parameters (Å, degrees): 4.8708 4.8805 7.0624 71.07 84.90 69.01
Fractional positions:
1 Tm 0.0085 0.3735 0.2781
2 Tm 0.9915 0.6265 0.7219
3 Al 0.5000 0.0000 0.0000
4 Pt 0.0000 0.0000 0.0000
5 Pt 0.3317 0.0275 0.6547
6 Pt 0.5000 0.5000 0.0000
7 Pt 0.6683 0.9725 0.3453